Theoretical powder X-ray diffraction pattern
Compound: Ca2BePN4
Radiation: Cu Kα (weighted mean of Kα1 and Kα2)
Structure: the PBE geometry in Alexandria

Principal peaks in the range 15° ≤ 2θ ≤ 90°, low angle first:
15.8°, I 29, hkl 0 0 1
21.7°, I 21, hkl 1 1 0
31.9°, I 36, hkl 0 0 2
32.1°, I 26, hkl 0 2 1
33.8°, I 51, hkl 2 0 0
36.4°, I 100, hkl 1 2 1
42.7°, I 35, hkl 0 2 2
44.2°, I 28, hkl 2 2 0
47.1°, I 51, hkl 2 0 2
62.1°, I 20, hkl 3 2 1

```
data_Ca2BePN4
_space_group_name_H-M_alt 'P 1'
_space_group_IT_number 1
_cell_length_a 5.3110
_cell_length_b 6.4354
_cell_length_c 5.6163
_cell_angle_alpha 90.00
_cell_angle_beta 90.00
_cell_angle_gamma 90.00
loop_
_space_group_symop_operation_xyz
'x,y,z'
loop_
_atom_site_label
_atom_site_fract_x
_atom_site_fract_y
_atom_site_fract_z
Ca1 0.2500 0.0011 0.2499
Ca2 0.2500 0.4989 0.2499
Ca3 0.7500 0.5011 0.7501
Ca4 0.7500 0.9989 0.7501
Be1 0.2500 0.2500 0.6640
Be2 0.7500 0.7500 0.3360
P1 0.2500 0.7500 0.6771
P2 0.7500 0.2500 0.3229
N1 0.0053 0.7500 0.5000
N2 0.2500 0.5295 0.8288
N3 0.2500 0.9705 0.8288
N4 0.4947 0.7500 0.5000
N5 0.5053 0.2500 0.5000
N6 0.7500 0.0295 0.1712
N7 0.7500 0.4705 0.1712
N8 0.9947 0.2500 0.5000
```